# 1
Structure and theoretical X-ray powder pattern of SrPrSm14 (a cell relaxed with GGA-PBE; Cu Kα X-rays).
Peak positions follow from Bragg's law for the DFT cell and can differ from measured ones.

```
SrPrSm14
1.0
7.3460 0.0000 0.0000
0.0000 7.3460 0.0000
0.0000 0.0000 10.3056
Sr Pr Sm
1 1 14
direct
0.0000 0.0000 0.0000 Sr
0.5000 0.5000 0.0000 Pr
0.0000 0.0000 0.5000 Sm
0.0000 0.5000 0.0000 Sm
0.0000 0.5000 0.5000 Sm
0.2549 0.2549 0.2559 Sm
0.2549 0.2549 0.7441 Sm
0.2549 0.7451 0.2559 Sm
0.2549 0.7451 0.7441 Sm
0.5000 0.0000 0.0000 Sm
0.5000 0.0000 0.5000 Sm
0.5000 0.5000 0.5000 Sm
0.7451 0.2549 0.2559 Sm
0.7451 0.2549 0.7441 Sm
0.7451 0.7451 0.2559 Sm
0.7451 0.7451 0.7441 Sm
```

Principal peaks in the range 10° ≤ 2θ ≤ 80°, in order of rising 2θ:
2θ/deg  I/Imax
29.9  100
34.5  34
34.8  17
49.6  12
49.9  24
59.0  29
59.4  14
62.1  12
72.8  4
73.5  2

# 2
Structure and theoretical X-ray powder pattern of CaSeO3 (a cell relaxed with GGA-PBE; Cu Kα X-rays).
Peak positions follow from Bragg's law for the DFT cell and can differ from measured ones.

```
CaSeO3
1.0
6.5096 0.0000 0.0000
0.0000 8.4912 0.0000
0.0000 0.0000 5.4258
Ca Se O
4 4 12
direct
0.0000 0.0000 0.0000 Ca
0.0000 0.5000 0.0000 Ca
0.5000 0.0000 0.5000 Ca
0.5000 0.5000 0.5000 Ca
0.0306 0.2500 0.4840 Se
0.4694 0.7500 0.9840 Se
0.5306 0.2500 0.0160 Se
0.9694 0.7500 0.5160 Se
0.0822 0.2500 0.7978 O
0.1740 0.0925 0.3707 O
0.1740 0.4075 0.3707 O
0.3260 0.5925 0.8707 O
0.3260 0.9075 0.8707 O
0.4178 0.7500 0.2978 O
0.5822 0.2500 0.7022 O
0.6740 0.0925 0.1293 O
0.6740 0.4075 0.1293 O
0.8260 0.5925 0.6293 O
0.8260 0.9075 0.6293 O
0.9178 0.7500 0.2022 O
```

Principal peaks in the range 10° ≤ 2θ ≤ 80°, in order of rising 2θ:
2θ/deg  I/Imax
21.3  16
27.4  28
29.4  16
30.0  100
33.0  17
43.4  17
50.1  25
51.4  15
57.1  20
62.4  11

# 3
Structure and theoretical X-ray powder pattern of K4Np3O10 (a cell relaxed with GGA-PBE; Cu Kα X-rays).
Peak positions follow from Bragg's law for the DFT cell and can differ from measured ones.

```
K4Np3O10
1.0
-2.1520 2.1520 15.3189
2.1520 -2.1520 15.3189
2.1520 2.1520 -15.3189
K Np O
4 3 10
direct
0.0707 0.0707 0.0000 K
0.2072 0.2072 0.0000 K
0.7928 0.7928 0.0000 K
0.9293 0.9293 0.0000 K
0.3601 0.3601 0.0000 Np
0.5000 0.5000 0.0000 Np
0.6399 0.6399 0.0000 Np
0.0000 0.5000 0.5000 O
0.1390 0.6390 0.5000 O
0.2963 0.2963 0.0000 O
0.3610 0.8610 0.5000 O
0.4284 0.4284 0.0000 O
0.5000 0.0000 0.5000 O
0.5716 0.5716 0.0000 O
0.6390 0.1390 0.5000 O
0.7037 0.7037 0.0000 O
0.8610 0.3610 0.5000 O
```

Principal peaks in the range 10° ≤ 2θ ≤ 80°, in order of rising 2θ:
2θ/deg  I/Imax
17.4  28
20.8  80
23.2  16
29.1  100
29.3  54
42.0  31
47.3  20
51.4  21
51.9  41
60.3  18

# 4
Structure and theoretical X-ray powder pattern of K6NaAu2 (a cell relaxed with GGA-PBE; Cu Kα X-rays).
Peak positions follow from Bragg's law for the DFT cell and can differ from measured ones.

```
K6NaAu2
1.0
-5.7046 5.7118 6.3607
5.7046 -5.7118 6.3607
5.7046 5.7118 -6.3607
K Na Au
12 2 4
direct
0.0116 0.8424 0.1692 K
0.2500 0.5454 0.2954 K
0.2500 0.9545 0.7046 K
0.2902 0.3238 0.6140 K
0.2902 0.6762 0.9664 K
0.3267 0.1576 0.1692 K
0.6733 0.8424 0.8308 K
0.7098 0.3238 0.0336 K
0.7098 0.6762 0.3860 K
0.7500 0.0455 0.2954 K
0.7500 0.4546 0.7046 K
0.9884 0.1576 0.8308 K
0.0000 0.5000 0.5000 Na
0.5000 0.0000 0.5000 Na
0.0000 0.2045 0.2045 Au
0.0000 0.7955 0.7955 Au
0.3847 0.3847 0.0000 Au
0.6153 0.6153 0.0000 Au
```

Principal peaks in the range 10° ≤ 2θ ≤ 80°, in order of rising 2θ:
2θ/deg  I/Imax
11.0  95
15.5  52
18.7  77
27.3  25
28.4  24
29.1  100
31.3  28
31.6  26
32.2  33
37.7  24

# 5
Structure and theoretical X-ray powder pattern of Al3Ga3Hg (a cell relaxed with GGA-PBE; Cu Kα X-rays).
Peak positions follow from Bragg's law for the DFT cell and can differ from measured ones.

```
Al3Ga3Hg
1.0
7.2274 0.0000 0.0000
0.0000 7.2274 0.0000
0.0000 0.0000 7.2274
Al Ga Hg
6 6 2
direct
0.0000 0.2500 0.5000 Al
0.0000 0.7500 0.5000 Al
0.2500 0.5000 0.0000 Al
0.5000 0.0000 0.2500 Al
0.5000 0.0000 0.7500 Al
0.7500 0.5000 0.0000 Al
0.0000 0.5000 0.2500 Ga
0.0000 0.5000 0.7500 Ga
0.2500 0.0000 0.5000 Ga
0.5000 0.2500 0.0000 Ga
0.5000 0.7500 0.0000 Ga
0.7500 0.0000 0.5000 Ga
0.0000 0.0000 0.0000 Hg
0.5000 0.5000 0.5000 Hg
```

Principal peaks in the range 10° ≤ 2θ ≤ 80°, in order of rising 2θ:
2θ/deg  I/Imax
17.4  18
24.6  42
27.6  12
30.3  100
47.0  60
50.5  17
57.0  17
60.0  14
71.5  17
74.2  10

# 6
Structure and theoretical X-ray powder pattern of NpFeH6Rh (a cell relaxed with GGA-PBE; Cu Kα X-rays).
Peak positions follow from Bragg's law for the DFT cell and can differ from measured ones.

```
NpFeH6Rh
1.0
4.4982 0.0000 0.0000
-2.2491 3.8956 0.0000
0.0000 0.0000 4.2184
Np Fe H Rh
1 1 6 1
direct
0.0000 0.0000 0.0000 Np
0.3333 0.6667 0.5000 Fe
0.0082 0.5041 0.2243 H
0.0082 0.5041 0.7757 H
0.4959 0.5041 0.2243 H
0.4959 0.5041 0.7757 H
0.4959 0.9918 0.2243 H
0.4959 0.9918 0.7757 H
0.6667 0.3333 0.5000 Rh
```

Principal peaks in the range 10° ≤ 2θ ≤ 80°, in order of rising 2θ:
2θ/deg  I/Imax
22.8  24
31.3  100
40.1  40
42.9  11
49.1  7
51.7  25
60.1  25
67.4  23
71.3  10
72.8  7

# 7
Structure and theoretical X-ray powder pattern of Li3Ca2Ag2 (a cell relaxed with GGA-PBE; Cu Kα X-rays).
Peak positions follow from Bragg's law for the DFT cell and can differ from measured ones.

```
Li3Ca2Ag2
1.0
5.4576 -2.1955 0.0000
5.4576 2.1955 0.0000
-3.2026 0.0000 6.9056
Li Ca Ag
3 2 2
direct
0.0000 0.0000 0.0000 Li
0.1426 0.1426 0.4354 Li
0.8574 0.8574 0.5646 Li
0.3601 0.3601 0.2239 Ca
0.6399 0.6399 0.7761 Ca
0.3607 0.3607 0.8020 Ag
0.6393 0.6393 0.1980 Ag
```

Principal peaks in the range 10° ≤ 2θ ≤ 80°, in order of rising 2θ:
2θ/deg  I/Imax
12.8  33
17.1  38
22.1  100
23.7  55
25.8  60
34.0  67
35.2  69
36.3  34
37.1  52
41.1  29

# 8
Structure and theoretical X-ray powder pattern of Hf3ZnGa5 (a cell relaxed with GGA-PBE; Cu Kα X-rays).
Peak positions follow from Bragg's law for the DFT cell and can differ from measured ones.

```
Hf3ZnGa5
1.0
-4.0002 4.0002 5.3358
4.0002 -4.0002 5.3358
4.0002 4.0002 -5.3358
Hf Zn Ga
6 2 10
direct
0.1227 0.6227 0.7453 Hf
0.2500 0.2500 0.0000 Hf
0.3773 0.1227 0.5000 Hf
0.6227 0.8773 0.5000 Hf
0.7500 0.7500 0.0000 Hf
0.8773 0.3773 0.2547 Hf
0.2500 0.7500 0.5000 Zn
0.7500 0.2500 0.5000 Zn
0.0000 0.0000 0.0000 Ga
0.0398 0.1679 0.5000 Ga
0.1679 0.6679 0.1281 Ga
0.3321 0.4602 0.5000 Ga
0.4602 0.9602 0.1281 Ga
0.5000 0.5000 0.0000 Ga
0.5398 0.0398 0.8719 Ga
0.6679 0.5398 0.5000 Ga
0.8321 0.3321 0.8719 Ga
0.9602 0.8321 0.5000 Ga
```

Principal peaks in the range 10° ≤ 2θ ≤ 80°, in order of rising 2θ:
2θ/deg  I/Imax
22.9  33
26.3  19
31.6  41
35.5  58
35.6  100
40.6  49
41.6  33
48.6  31
49.7  30
69.5  17

# 9
Structure and theoretical X-ray powder pattern of ThRh6 (a cell relaxed with GGA-PBE; Cu Kα X-rays).
Peak positions follow from Bragg's law for the DFT cell and can differ from measured ones.

```
ThRh6
1.0
8.6197 0.0000 0.0000
0.0000 5.2631 0.0000
0.0000 0.0000 10.3975
Th Rh
4 24
direct
0.2440 0.2500 0.0584 Th
0.2560 0.7500 0.5584 Th
0.7440 0.2500 0.4416 Th
0.7560 0.7500 0.9416 Th
0.0596 0.0051 0.3009 Rh
0.0596 0.4949 0.3009 Rh
0.0604 0.7500 0.0761 Rh
0.1077 0.2500 0.5186 Rh
0.1626 0.7500 0.8369 Rh
0.1839 0.2500 0.7719 Rh
0.3161 0.7500 0.2719 Rh
0.3374 0.2500 0.3369 Rh
0.3923 0.7500 0.0186 Rh
0.4396 0.2500 0.5761 Rh
0.4404 0.5051 0.8009 Rh
0.4404 0.9949 0.8009 Rh
0.5596 0.0051 0.1991 Rh
0.5596 0.4949 0.1991 Rh
0.5604 0.7500 0.4239 Rh
0.6077 0.2500 0.9814 Rh
0.6626 0.7500 0.6631 Rh
0.6839 0.2500 0.7281 Rh
0.8161 0.7500 0.2281 Rh
0.8374 0.2500 0.1631 Rh
0.8923 0.7500 0.4814 Rh
0.9396 0.2500 0.9239 Rh
0.9404 0.5051 0.6991 Rh
0.9404 0.9949 0.6991 Rh
```

Principal peaks in the range 10° ≤ 2θ ≤ 80°, in order of rising 2θ:
2θ/deg  I/Imax
34.1  34
36.1  73
36.7  100
37.4  70
38.3  32
40.1  38
41.1  30
42.9  32
44.5  40
50.5  28